The following is a theoretical X-ray diffraction stick pattern of VSn3. It was derived from a cell relaxed with GGA-PBE, using a wavelength of 1.5418 Å.

Atomic structure:
```
data_VSn3
_chemical_formula_sum 'V2 Sn6'
_space_group_name_H-M_alt 'P 63/m m c'
_space_group_IT_number 194
_space_group_name_Hall '-P 6c 2c'
_cell_length_a 6.2384
_cell_length_b 6.2384
_cell_length_c 5.3669
_cell_angle_alpha 90.00
_cell_angle_beta 90.00
_cell_angle_gamma 120.00
loop_
_atom_site_label
_atom_site_type_symbol
_atom_site_fract_x
_atom_site_fract_y
_atom_site_fract_z
V1 V 0.3333 0.6667 0.2500
Sn1 Sn 0.1730 0.3460 0.7500
```

Largest 10 diffraction maxima, by angle, 2θ from 10° to 80°:
(hkl)  d_spacing  two_theta  I_rel
1 0 1  3.808  23.4  12
2 0 0  2.701  33.2  23
0 0 2  2.683  33.4  30
2 0 1  2.413  37.3  100
2 0 2  1.904  47.8  17
2 2 0  1.560  59.2  17
2 0 3  1.492  62.2  23
2 2 2  1.348  69.7  21
4 0 1  1.310  72.1  15
4 0 2  1.207  79.4  6